[1]
Th3Sn13Ru4: simulated XRD peak list (CuKα), based on DFT lattice parameters and positions (PBE).

Cell: 10.125 10.125 10.125 Å, 90.00 90.00 90.00°
Fractional coordinates of all 40 atoms:
1 Th 0.000 0.250 0.500
2 Th 0.000 0.750 0.500
3 Th 0.250 0.500 0.000
4 Th 0.500 0.000 0.250
5 Th 0.500 0.000 0.750
6 Th 0.750 0.500 0.000
7 Sn 0.000 0.000 0.000
8 Sn 0.000 0.305 0.155
9 Sn 0.000 0.305 0.845
10 Sn 0.000 0.695 0.155
11 Sn 0.000 0.695 0.845
12 Sn 0.155 0.000 0.305
13 Sn 0.155 0.000 0.695
14 Sn 0.195 0.500 0.345
15 Sn 0.195 0.500 0.655
16 Sn 0.305 0.155 0.000
17 Sn 0.305 0.845 0.000
18 Sn 0.345 0.195 0.500
19 Sn 0.345 0.805 0.500
20 Sn 0.500 0.345 0.195
21 Sn 0.500 0.345 0.805
22 Sn 0.500 0.500 0.500
23 Sn 0.500 0.655 0.195
24 Sn 0.500 0.655 0.805
25 Sn 0.655 0.195 0.500
26 Sn 0.655 0.805 0.500
27 Sn 0.695 0.155 0.000
28 Sn 0.695 0.845 0.000
29 Sn 0.805 0.500 0.345
30 Sn 0.805 0.500 0.655
31 Sn 0.845 0.000 0.305
32 Sn 0.845 0.000 0.695
33 Ru 0.250 0.250 0.250
34 Ru 0.250 0.250 0.750
35 Ru 0.250 0.750 0.250
36 Ru 0.250 0.750 0.750
37 Ru 0.750 0.250 0.250
38 Ru 0.750 0.250 0.750
39 Ru 0.750 0.750 0.250
40 Ru 0.750 0.750 0.750

Top 6 peaks for 15° ≤ 2θ ≤ 90°, sorted by position:
| d (Å) | 2θ/deg | I_rel |
| --- | --- | --- |
| 2.808 | 31.87 | 100 |
| 2.706 | 33.10 | 38 |
| 2.531 | 35.46 | 25 |
| 1.736 | 52.71 | 13 |
| 1.643 | 55.98 | 17 |
| 1.526 | 60.67 | 16 |

---

[2]
La3Si2S8Br: simulated XRD peak list (CuKα), based on DFT lattice parameters and positions (PBE).

Cell: 8.901 8.901 11.047 Å, 96.55 96.55 52.60°
Fractional coordinates of all 28 atoms:
1 La 0.107 0.893 0.750
2 La 0.186 0.426 0.317
3 La 0.426 0.186 0.817
4 La 0.574 0.814 0.183
5 La 0.814 0.574 0.683
6 La 0.893 0.107 0.250
7 Si 0.126 0.194 0.030
8 Si 0.194 0.126 0.530
9 Si 0.806 0.874 0.470
10 Si 0.874 0.806 0.970
11 S 0.054 0.244 0.841
12 S 0.087 0.780 0.452
13 S 0.099 0.609 0.855
14 S 0.210 0.354 0.585
15 S 0.220 0.913 0.048
16 S 0.244 0.054 0.341
17 S 0.354 0.210 0.085
18 S 0.391 0.901 0.645
19 S 0.609 0.099 0.355
20 S 0.646 0.790 0.915
21 S 0.756 0.946 0.659
22 S 0.780 0.087 0.952
23 S 0.790 0.646 0.415
24 S 0.901 0.391 0.145
25 S 0.913 0.220 0.548
26 S 0.946 0.756 0.159
27 Br 0.495 0.505 0.250
28 Br 0.505 0.495 0.750

Top 6 peaks for 15° ≤ 2θ ≤ 90°, sorted by position:
| d (Å) | 2θ/deg | I_rel |
| --- | --- | --- |
| 5.479 | 16.18 | 100 |
| 4.222 | 21.04 | 64 |
| 3.711 | 23.98 | 77 |
| 3.421 | 26.05 | 60 |
| 2.767 | 32.35 | 81 |
| 2.400 | 37.47 | 53 |

---

[3]
InI3O9: simulated XRD peak list (CuKα), based on DFT lattice parameters and positions (PBE).

Cell: 7.577 7.577 7.577 Å, 81.56 81.56 81.56°
Fractional coordinates of all 26 atoms:
1 In 0.179 0.179 0.179
2 In 0.821 0.821 0.821
3 I 0.130 0.419 0.721
4 I 0.279 0.870 0.581
5 I 0.419 0.721 0.130
6 I 0.581 0.279 0.870
7 I 0.721 0.130 0.419
8 I 0.870 0.581 0.279
9 O 0.054 0.294 0.938
10 O 0.062 0.946 0.706
11 O 0.083 0.428 0.299
12 O 0.215 0.733 0.425
13 O 0.267 0.575 0.785
14 O 0.294 0.938 0.054
15 O 0.299 0.083 0.428
16 O 0.425 0.215 0.733
17 O 0.428 0.299 0.083
18 O 0.572 0.701 0.917
19 O 0.575 0.785 0.267
20 O 0.701 0.917 0.572
21 O 0.706 0.062 0.946
22 O 0.733 0.425 0.215
23 O 0.785 0.267 0.575
24 O 0.917 0.572 0.701
25 O 0.938 0.054 0.294
26 O 0.946 0.706 0.062

Top 6 peaks for 15° ≤ 2θ ≤ 90°, sorted by position:
| d (Å) | 2θ/deg | I_rel |
| --- | --- | --- |
| 4.968 | 17.86 | 20 |
| 3.509 | 25.39 | 100 |
| 2.857 | 31.31 | 49 |
| 2.477 | 36.26 | 13 |
| 2.223 | 40.59 | 21 |
| 1.751 | 52.25 | 16 |

---

[4]
MoWSe4: simulated XRD peak list (CuKα), based on DFT lattice parameters and positions (PBE).

Cell: 3.323 3.323 37.851 Å, 90.00 90.00 120.00°
Fractional coordinates of all 12 atoms:
1 Mo 0.333 0.667 0.218
2 Mo 0.667 0.333 0.782
3 W 0.333 0.667 0.594
4 W 0.667 0.333 0.406
5 Se 0.333 0.667 0.362
6 Se 0.333 0.667 0.451
7 Se 0.333 0.667 0.738
8 Se 0.333 0.667 0.826
9 Se 0.667 0.333 0.174
10 Se 0.667 0.333 0.262
11 Se 0.667 0.333 0.549
12 Se 0.667 0.333 0.638

Top 6 peaks for 15° ≤ 2θ ≤ 90°, sorted by position:
| d (Å) | 2θ/deg | I_rel |
| --- | --- | --- |
| 2.875 | 31.10 | 56 |
| 2.690 | 33.31 | 18 |
| 2.459 | 36.55 | 100 |
| 2.047 | 44.25 | 70 |
| 1.970 | 46.06 | 27 |
| 1.661 | 55.31 | 41 |

---

[5]
CeGa2: simulated XRD peak list (CuKα), based on DFT lattice parameters and positions (PBE).

Cell: 4.270 4.270 4.252 Å, 90.00 90.00 120.00°
Fractional coordinates of all 3 atoms:
1 Ce 0.000 0.000 0.000
2 Ga 0.333 0.667 0.500
3 Ga 0.667 0.333 0.500

Top 6 peaks for 15° ≤ 2θ ≤ 90°, sorted by position:
| d (Å) | 2θ/deg | I_rel |
| --- | --- | --- |
| 2.790 | 32.08 | 100 |
| 2.135 | 42.33 | 42 |
| 2.126 | 42.52 | 14 |
| 1.696 | 54.08 | 22 |
| 1.507 | 61.56 | 27 |
| 1.328 | 70.98 | 20 |

---

[6]
NaAgH2S2O4: simulated XRD peak list (CuKα), based on DFT lattice parameters and positions (PBE).

Cell: 7.802 9.423 7.825 Å, 90.00 96.52 90.00°
Fractional coordinates of all 40 atoms:
1 Na 0.000 0.013 0.000
2 Na 0.000 0.987 0.500
3 Na 0.504 0.056 0.494
4 Na 0.504 0.944 0.994
5 Ag 0.463 0.455 0.164
6 Ag 0.463 0.545 0.664
7 Ag 0.967 0.438 0.957
8 Ag 0.967 0.562 0.457
9 H 0.220 0.217 0.335
10 H 0.220 0.783 0.835
11 H 0.328 0.190 0.184
12 H 0.328 0.810 0.684
13 H 0.715 0.201 0.846
14 H 0.715 0.799 0.346
15 H 0.845 0.206 0.709
16 H 0.845 0.794 0.209
17 S 0.276 0.417 0.875
18 S 0.276 0.583 0.375
19 S 0.292 0.203 0.803
20 S 0.292 0.797 0.303
21 S 0.787 0.417 0.211
22 S 0.787 0.583 0.711
23 S 0.795 0.200 0.268
24 S 0.795 0.800 0.768
25 O 0.157 0.179 0.660
26 O 0.157 0.821 0.160
27 O 0.264 0.117 0.958
28 O 0.264 0.883 0.458
29 O 0.340 0.213 0.308
30 O 0.340 0.787 0.808
31 O 0.467 0.176 0.756
32 O 0.467 0.824 0.256
33 O 0.665 0.131 0.145
34 O 0.665 0.869 0.645
35 O 0.758 0.181 0.449
36 O 0.758 0.819 0.949
37 O 0.838 0.194 0.832
38 O 0.838 0.806 0.332
39 O 0.972 0.150 0.248
40 O 0.972 0.850 0.748

Top 6 peaks for 15° ≤ 2θ ≤ 90°, sorted by position:
| d (Å) | 2θ/deg | I_rel |
| --- | --- | --- |
| 3.877 | 22.94 | 47 |
| 3.585 | 24.84 | 50 |
| 3.399 | 26.22 | 56 |
| 3.139 | 28.44 | 100 |
| 2.995 | 29.83 | 91 |
| 2.913 | 30.69 | 57 |

---

[7]
K2ScTlBr6: simulated XRD peak list (CuKα), based on DFT lattice parameters and positions (PBE).

Cell: 8.232 8.232 8.232 Å, 60.00 60.00 60.00°
Fractional coordinates of all 10 atoms:
1 K 0.250 0.250 0.250
2 K 0.750 0.750 0.750
3 Sc 0.000 0.000 0.000
4 Tl 0.500 0.500 0.500
5 Br 0.228 0.228 0.772
6 Br 0.228 0.772 0.228
7 Br 0.228 0.772 0.772
8 Br 0.772 0.228 0.228
9 Br 0.772 0.228 0.772
10 Br 0.772 0.772 0.228

Top 6 peaks for 15° ≤ 2θ ≤ 90°, sorted by position:
| d (Å) | 2θ/deg | I_rel |
| --- | --- | --- |
| 5.821 | 15.22 | 93 |
| 3.361 | 26.52 | 31 |
| 2.911 | 30.72 | 100 |
| 2.671 | 33.55 | 34 |
| 2.603 | 34.45 | 44 |
| 2.058 | 44.00 | 68 |

---

[8]
Nd2In3Ni: simulated XRD peak list (CuKα), based on DFT lattice parameters and positions (PBE).

Cell: 3.829 4.769 8.280 Å, 90.00 90.00 90.00°
Fractional coordinates of all 6 atoms:
1 Nd 0.000 0.000 0.000
2 Nd 0.000 0.500 0.457
3 In 0.500 0.000 0.616
4 In 0.500 0.500 0.153
5 In 0.500 0.500 0.808
6 Ni 0.500 0.000 0.297

Top 6 peaks for 15° ≤ 2θ ≤ 90°, sorted by position:
| d (Å) | 2θ/deg | I_rel |
| --- | --- | --- |
| 2.809 | 31.85 | 100 |
| 2.387 | 37.68 | 60 |
| 1.914 | 47.49 | 11 |
| 1.819 | 50.14 | 25 |
| 1.494 | 62.15 | 27 |
| 1.448 | 64.35 | 13 |

---

[9]
CeMg6V: simulated XRD peak list (CuKα), based on DFT lattice parameters and positions (PBE).

Cell: 5.159 6.570 6.570 Å, 54.71 90.00 90.00°
Fractional coordinates of all 8 atoms:
1 Ce 0.000 0.000 0.000
2 Mg 0.000 0.497 0.999
3 Mg 0.000 0.999 0.497
4 Mg 0.500 0.161 0.161
5 Mg 0.500 0.163 0.645
6 Mg 0.500 0.642 0.642
7 Mg 0.500 0.645 0.163
8 V 0.000 0.492 0.492

Top 6 peaks for 15° ≤ 2θ ≤ 90°, sorted by position:
| d (Å) | 2θ/deg | I_rel |
| --- | --- | --- |
| 5.836 | 15.18 | 54 |
| 5.159 | 17.19 | 40 |
| 2.681 | 33.42 | 41 |
| 2.580 | 34.78 | 43 |
| 2.540 | 35.34 | 72 |
| 2.379 | 37.81 | 100 |

---

[10]
UNb4O12: simulated XRD peak list (CuKα), based on DFT lattice parameters and positions (PBE).

Cell: 8.864 8.864 8.864 Å, 143.14 143.14 53.11°
Fractional coordinates of all 17 atoms:
1 U 0.000 0.000 0.000
2 Nb 0.127 0.627 0.500
3 Nb 0.373 0.873 0.500
4 Nb 0.627 0.127 0.500
5 Nb 0.873 0.373 0.500
6 O 0.000 0.500 0.500
7 O 0.123 0.123 0.468
8 O 0.123 0.655 0.000
9 O 0.250 0.750 0.500
10 O 0.345 0.345 0.468
11 O 0.345 0.877 0.000
12 O 0.500 0.000 0.500
13 O 0.655 0.123 0.000
14 O 0.655 0.655 0.532
15 O 0.750 0.250 0.500
16 O 0.877 0.345 0.000
17 O 0.877 0.877 0.532

Top 6 peaks for 15° ≤ 2θ ≤ 90°, sorted by position:
| d (Å) | 2θ/deg | I_rel |
| --- | --- | --- |
| 5.284 | 16.78 | 60 |
| 3.845 | 23.13 | 24 |
| 3.545 | 25.12 | 23 |
| 2.802 | 31.93 | 100 |
| 1.982 | 45.79 | 38 |
| 1.618 | 56.91 | 42 |